For K3RhF6, a crystal structure in Alexandria, relaxed with PBE gives the theoretical X-ray diffraction stick pattern in this record (CuKα).
Neutral-atom scattering factors, no anomalous dispersion.

Peak list (10 most intense, 5° ≤ 2θ ≤ 70°, sorted by position)
2theta, Rel. int.
16.6, 46
17.4, 47
20.0, 73
27.8, 90
28.0, 31
28.7, 39
28.9, 89
40.6, 100
50.5, 24
50.8, 26

Structural model:
a = 6.172 Å, b = 6.172 Å, c = 6.386 Å
α = 118.49°, β = 118.49°, γ = 60.42°
Atoms (fractional coordinates):
K 0.000 0.000 0.000
K 0.242 0.242 0.726
K 0.758 0.758 0.274
Rh 0.500 0.500 0.500
F 0.213 0.668 0.655
F 0.289 0.289 0.187
F 0.332 0.787 0.345
F 0.668 0.213 0.655
F 0.711 0.711 0.813
F 0.787 0.332 0.345